Record 1
Sr2Eu2TlNi2O9: simulated X-ray diffraction stick pattern (copper Kα), based on a crystal structure in Alexandria, relaxed with PBE+U.

Structure:
abc: 15.1979 3.7949 15.1944
angles: 82.88 14.35 82.77
Fractional coordinates of all 16 atoms:
Sr1 0.0846 0.9154 0.0846
Sr2 0.9154 0.0846 0.9154
Eu1 0.2049 0.7968 0.2032
Eu2 0.7968 0.2049 0.7951
Tl1 0.4708 0.4708 0.5292
Ni1 0.3527 0.6493 0.3507
Ni2 0.6493 0.3527 0.6473
O1 0.0341 0.0341 0.9659
O2 0.1498 0.3516 0.1478
O3 0.2824 0.7198 0.2802
O4 0.3516 0.1498 0.3508
O5 0.4379 0.5793 0.4207
O6 0.5793 0.4379 0.5621
O7 0.6492 0.8522 0.6484
O8 0.7198 0.2824 0.7176
O9 0.8522 0.6492 0.8502

Largest 12 diffraction maxima, sorted by position, 10 to 90 degrees two-theta:
| 2theta | I_rel |
| --- | --- |
| 25.11 | 32 |
| 31.53 | 100 |
| 33.27 | 33 |
| 33.52 | 33 |
| 42.30 | 13 |
| 45.31 | 12 |
| 45.50 | 12 |
| 47.95 | 31 |
| 55.03 | 12 |
| 58.36 | 17 |
| 58.68 | 18 |
| 65.83 | 12 |

***

Record 2
SrEuNiWO6: simulated X-ray diffraction stick pattern (copper Kα), based on a crystal structure in Alexandria, relaxed with PBE+U.

Structure:
abc: 5.6500 5.6500 5.6500
angles: 60.00 60.00 60.00
Fractional coordinates of all 10 atoms:
Sr1 0.0000 0.0000 0.0000
Eu1 0.5000 0.5000 0.5000
Ni1 0.7500 0.7500 0.7500
W1 0.2500 0.2500 0.2500
O1 0.0064 0.0064 0.4936
O2 0.0064 0.4936 0.0064
O3 0.0064 0.4936 0.4936
O4 0.4936 0.0064 0.0064
O5 0.4936 0.0064 0.4936
O6 0.4936 0.4936 0.0064

Largest 12 diffraction maxima, sorted by position, 10 to 90 degrees two-theta:
| 2theta | I_rel |
| --- | --- |
| 19.24 | 20 |
| 31.67 | 100 |
| 37.33 | 11 |
| 45.40 | 30 |
| 49.74 | 5 |
| 56.41 | 40 |
| 60.18 | 4 |
| 66.16 | 18 |
| 69.61 | 4 |
| 75.21 | 17 |
| 83.89 | 6 |
| 87.11 | 2 |

***

What did the first record say?
Sr2Eu2TlNi2O9: simulated X-ray diffraction stick pattern (copper Kα), based on a crystal structure in Alexandria, relaxed with PBE+U.

Structure:
abc: 15.1979 3.7949 15.1944
angles: 82.88 14.35 82.77
Fractional coordinates of all 16 atoms:
Sr1 0.0846 0.9154 0.0846
Sr2 0.9154 0.0846 0.9154
Eu1 0.2049 0.7968 0.2032
Eu2 0.7968 0.2049 0.7951
Tl1 0.4708 0.4708 0.5292
Ni1 0.3527 0.6493 0.3507
Ni2 0.6493 0.3527 0.6473
O1 0.0341 0.0341 0.9659
O2 0.1498 0.3516 0.1478
O3 0.2824 0.7198 0.2802
O4 0.3516 0.1498 0.3508
O5 0.4379 0.5793 0.4207
O6 0.5793 0.4379 0.5621
O7 0.6492 0.8522 0.6484
O8 0.7198 0.2824 0.7176
O9 0.8522 0.6492 0.8502

Largest 12 diffraction maxima, sorted by position, 10 to 90 degrees two-theta:
| 2theta | I_rel |
| --- | --- |
| 25.11 | 32 |
| 31.53 | 100 |
| 33.27 | 33 |
| 33.52 | 33 |
| 42.30 | 13 |
| 45.31 | 12 |
| 45.50 | 12 |
| 47.95 | 31 |
| 55.03 | 12 |
| 58.36 | 17 |
| 58.68 | 18 |
| 65.83 | 12 |

***

Q: What is the formula in the second record?
A: SrEuNiWO6